# Tb4Ga3Rh
Calculated XRD peak list, λ = 1.5418 Å (Cu Kα). Input: a crystal structure in Alexandria, relaxed with PBE.
Intensities are scaled so that the largest is 100.

Atomic structure:
Unit cell a=4.1889 b=4.2046 c=10.6731 alpha=90.00 beta=90.00 gamma=90.00
Space group Pmm2 (No. 25)
Symmetry-distinct sites (fractional):
1 Tb 0.0000 0.0000 0.0000 x1
2 Tb 0.0000 0.5000 0.4798 x1
3 Tb 0.5000 0.0000 0.7030 x1
4 Tb 0.5000 0.5000 0.2090 x1
5 Ga 0.0000 0.5000 0.7711 x1
6 Ga 0.5000 0.0000 0.4190 x1
7 Ga 0.5000 0.5000 0.9216 x1
8 Rh 0.0000 0.0000 0.2687 x1

Largest 6 diffraction maxima, in order of rising 2θ, 15 to 90 degrees two-theta:
| 2theta | I_rel |
| --- | --- |
| 31.29 | 100 |
| 32.98 | 39 |
| 33.59 | 23 |
| 39.55 | 47 |
| 43.02 | 23 |
| 43.19 | 23 |